[1]
Computed powder diffraction line list
Compound: MgMn6O10F2
Radiation: CuKα
Structure: a crystal structure in the Materials Project, relaxed with GGA+U
Intensities are scaled so that the largest is 100.

Peak list (10 most intense, 10 to 80 degrees two-theta, in order of rising 2θ)
(hkl), d (Å), Position (°2θ), Rel. int.
1 1 1, 3.769, 23.61, 100.0
-1 1 1, 3.192, 27.95, 77.1
1 -1 2, 2.525, 35.55, 39.7
2 0 0, 2.500, 35.92, 46.3
0 0 3, 2.484, 36.16, 25.7
1 3 0, 1.815, 50.28, 19.8
1 1 4, 1.801, 50.69, 18.0
-1 1 4, 1.659, 55.39, 18.9
0 2 -4, 1.463, 63.58, 15.9
3 -1 2, 1.448, 64.34, 22.4

Atomic structure:
```
MgMn6O10F2
1.0
5.0676 0.0000 0.0000
0.8013 5.6019 0.0000
0.7806 0.9572 7.4513
Mg Mn O F
1 6 10 2
Direct
0.0000 0.0000 0.0000
0.0248 0.0052 0.5040
0.0720 0.3797 0.1897
0.5065 0.1665 0.8219
0.5071 0.4856 0.5036
0.5143 0.8312 0.1748
0.9568 0.6117 0.8079
0.1594 0.3207 0.9265
0.1649 0.0254 0.2474
0.1813 0.6797 0.5906
0.3670 0.2010 0.5938
0.3766 0.5378 0.2721
0.6277 0.1271 0.0565
0.6483 0.4481 0.7374
0.8476 0.9665 0.7507
0.8539 0.3220 0.4152
0.8672 0.6670 0.0688
0.3517 0.8550 0.9078
0.6702 0.7908 0.4292
```

[2]
Computed powder diffraction line list
Compound: MgMn6O6F6
Radiation: CuKα
Structure: a crystal structure in the Materials Project, relaxed with GGA+U
Intensities are scaled so that the largest is 100.

Peak list (10 most intense, 10 to 80 degrees two-theta, in order of rising 2θ)
(hkl), d (Å), Position (°2θ), Rel. int.
1 1 0, 3.512, 25.36, 100.0
1 -1 0, 3.451, 25.82, 89.5
0 1 3, 2.725, 32.86, 42.6
1 0 3, 2.653, 33.79, 29.9
0 1 -3, 2.606, 34.42, 60.7
1 2 3, 1.875, 48.56, 24.2
-1 2 3, 1.841, 49.52, 21.0
1 -2 3, 1.779, 51.36, 34.2
2 2 0, 1.756, 52.08, 20.1
0 0 6, 1.569, 58.86, 22.9

Atomic structure:
```
MgMn6O6F6
1.0
4.8275 0.0000 0.0000
0.0943 5.0329 0.0000
0.1821 0.4844 9.4135
Mg Mn O F
1 6 6 6
Direct
0.0000 0.0000 0.0000
0.0553 0.4231 0.3392
0.4803 0.9097 0.1781
0.4820 0.9036 0.4982
0.5464 0.9934 0.8118
0.9582 0.5065 0.0031
0.9761 0.4835 0.6638
0.1388 0.6999 0.1463
0.1716 0.6464 0.5040
0.3285 0.1000 0.3324
0.6628 0.7847 0.0016
0.6669 0.7377 0.6621
0.8417 0.2882 0.8514
0.1555 0.7706 0.8470
0.2873 0.2024 0.6689
0.3073 0.2303 0.0108
0.6755 0.6738 0.3298
0.7876 0.2019 0.5021
0.8213 0.2057 0.1581
```

[3]
Computed powder diffraction line list
Compound: MgMn6O6F6
Radiation: CuKα
Structure: a crystal structure in the Materials Project, relaxed with GGA+U
Intensities are scaled so that the largest is 100.

Peak list (10 most intense, 10 to 80 degrees two-theta, in order of rising 2θ)
(hkl), d (Å), Position (°2θ), Rel. int.
1 1 1, 3.921, 22.68, 100.0
-1 1 1, 3.214, 27.76, 81.2
1 1 2, 3.025, 29.53, 20.0
1 1 -2, 2.672, 33.54, 25.6
0 2 -1, 2.662, 33.67, 34.3
2 0 0, 2.565, 34.98, 29.6
0 0 3, 2.534, 35.42, 21.9
1 3 0, 1.941, 46.81, 21.5
-2 2 2, 1.607, 57.32, 24.1
0 2 -4, 1.540, 60.10, 20.5

Atomic structure:
```
MgMn6O6F6
1.0
5.2365 0.0000 0.0000
1.0962 5.8720 0.0000
0.7414 0.6013 7.6023
Mg Mn O F
1 6 6 6
Direct
0.0000 0.0000 0.0000
0.9996 0.9911 0.5258
0.0017 0.5700 0.7987
0.1330 0.3790 0.2224
0.5045 0.1407 0.8519
0.5316 0.8131 0.1855
0.5359 0.4976 0.5093
0.1629 0.2821 0.9535
0.2115 0.6944 0.5891
0.4355 0.5322 0.2742
0.6259 0.0920 0.0834
0.8439 0.9638 0.7670
0.8754 0.3073 0.4472
0.1551 0.9916 0.2679
0.3520 0.8115 0.9611
0.3689 0.1889 0.6182
0.6455 0.4667 0.7590
0.7036 0.8185 0.4082
0.9081 0.6737 0.0783
```

[4]
Computed powder diffraction line list
Compound: MgMn6O6F6
Radiation: CuKα
Structure: a crystal structure in the Materials Project, relaxed with GGA+U
Intensities are scaled so that the largest is 100.

Peak list (10 most intense, 10 to 80 degrees two-theta, in order of rising 2θ)
(hkl), d (Å), Position (°2θ), Rel. int.
1 0 2, 3.967, 22.41, 73.3
1 0 3, 3.309, 26.95, 99.3
1 0 -4, 3.168, 28.17, 72.9
1 1 0, 2.696, 33.24, 48.7
1 0 -5, 2.681, 33.42, 69.8
0 1 3, 2.634, 34.04, 79.5
2 0 -2, 2.561, 35.03, 57.3
1 1 6, 1.732, 52.84, 100.0
1 1 -8, 1.547, 59.76, 44.9
3 1 -2, 1.524, 60.76, 47.7

Atomic structure:
```
MgMn6O6F6
1.0
5.2537 0.0000 0.0000
0.0000 3.1513 0.0000
-1.9825 0.0000 14.3871
Mg Mn O F
1 6 6 6
Direct
0.0000 0.0000 0.0000
0.0000 0.0213 0.5000
0.2350 0.0174 0.7900
0.3726 0.5197 0.3466
0.5000 0.5015 0.0000
0.6274 0.5197 0.6534
0.7650 0.0174 0.2100
0.1279 0.5213 0.4330
0.3143 0.0018 0.9317
0.3910 0.5175 0.7454
0.6090 0.5175 0.2546
0.6857 0.0018 0.0683
0.8721 0.5213 0.5670
0.1572 0.0193 0.2692
0.1635 0.4995 0.0751
0.4192 0.0203 0.5918
0.5808 0.0203 0.4082
0.8365 0.4995 0.9249
0.8428 0.0193 0.7308
```

[5]
Computed powder diffraction line list
Compound: MgMn6O10F2
Radiation: CuKα
Structure: a crystal structure in the Materials Project, relaxed with GGA+U
Intensities are scaled so that the largest is 100.

Peak list (10 most intense, 10 to 80 degrees two-theta, in order of rising 2θ)
(hkl), d (Å), Position (°2θ), Rel. int.
1 1 1, 3.799, 23.42, 100.0
-1 1 1, 3.221, 27.70, 71.4
1 1 -2, 2.549, 35.21, 19.1
2 0 0, 2.519, 35.64, 64.7
0 0 3, 2.483, 36.18, 20.2
1 3 0, 1.837, 49.63, 28.5
1 1 4, 1.799, 50.76, 18.1
1 -3 0, 1.680, 54.64, 14.2
-2 2 2, 1.610, 57.20, 15.8
0 2 -4, 1.466, 63.47, 28.3

Atomic structure:
```
MgMn6O10F2
1.0
5.1112 0.0000 0.0000
0.8481 5.6588 0.0000
0.6984 0.9901 7.4479
Mg Mn O F
1 6 10 2
Direct
0.0000 0.0000 0.0000
0.0518 0.3786 0.1937
0.4832 0.1440 0.8170
0.4915 0.4907 0.4901
0.4972 0.8171 0.1717
0.9726 0.6210 0.8128
0.9756 0.9833 0.4917
0.1526 0.0281 0.2468
0.1550 0.3208 0.9275
0.1662 0.6750 0.5844
0.3532 0.5230 0.2642
0.3580 0.1944 0.5974
0.3653 0.8629 0.9288
0.6391 0.7751 0.3955
0.8246 0.3076 0.4120
0.8348 0.9657 0.7496
0.8627 0.6717 0.0630
0.6408 0.1450 0.0603
0.6424 0.4514 0.7392
```

[6]
Computed powder diffraction line list
Compound: MgMn6O6F6
Radiation: CuKα
Structure: a crystal structure in the Materials Project, relaxed with GGA+U
Intensities are scaled so that the largest is 100.

Peak list (10 most intense, 10 to 80 degrees two-theta, in order of rising 2θ)
(hkl), d (Å), Position (°2θ), Rel. int.
0 1 0, 5.555, 15.96, 22.6
1 1 1, 4.727, 18.77, 100.0
-1 1 1, 2.831, 31.60, 33.7
1 -1 2, 2.633, 34.04, 22.5
1 1 -2, 2.625, 34.16, 36.4
1 2 -1, 2.561, 35.04, 17.1
0 2 2, 2.333, 38.58, 28.2
2 0 3, 2.108, 42.91, 24.2
2 2 -1, 2.089, 43.31, 26.0
2 0 -3, 1.607, 57.33, 28.8

Atomic structure:
```
MgMn6O6F6
1.0
5.7605 0.0000 0.0000
2.4839 5.5681 0.0000
2.5616 0.5373 7.7304
Mg Mn O F
1 6 6 6
Direct
0.0000 0.0000 0.0000
0.0198 0.4788 0.0196
0.0324 0.8220 0.6702
0.0332 0.1464 0.3436
0.4846 0.2662 0.6346
0.5119 0.9997 0.0109
0.6331 0.7633 0.4141
0.2262 0.3128 0.1796
0.2468 0.1894 0.8849
0.3287 0.6074 0.5308
0.7719 0.0752 0.8294
0.7742 0.7910 0.1378
0.8237 0.9707 0.4993
0.2288 0.7154 0.8613
0.2360 0.8746 0.1722
0.2907 0.0652 0.5126
0.7918 0.2555 0.1666
0.8257 0.6049 0.8430
0.8382 0.4147 0.4947
```

[7]
Computed powder diffraction line list
Compound: MgMn6O6F6
Radiation: CuKα
Structure: a crystal structure in the Materials Project, relaxed with GGA+U
Intensities are scaled so that the largest is 100.

Peak list (10 most intense, 10 to 80 degrees two-theta, in order of rising 2θ)
(hkl), d (Å), Position (°2θ), Rel. int.
1 0 -3, 3.662, 24.31, 81.3
1 0 3, 3.508, 25.39, 100.0
1 0 -4, 3.066, 29.13, 27.1
1 1 0, 2.640, 33.96, 40.3
1 0 -5, 2.606, 34.42, 19.9
0 1 3, 2.580, 34.77, 59.8
2 1 2, 1.912, 47.56, 21.2
2 1 -4, 1.777, 51.42, 21.2
1 1 6, 1.769, 51.67, 24.6
0 2 0, 1.522, 60.86, 23.1

Atomic structure:
```
MgMn6O6F6
1.0
5.3048 0.0000 0.0000
0.0000 3.0443 0.0000
-0.6279 0.0000 14.5823
Mg Mn O F
1 6 6 6
Direct
0.0000 0.0000 0.0000
0.3162 0.0000 0.3359
0.3419 0.0000 0.6486
0.5232 0.0000 0.9749
0.7558 0.5000 0.4914
0.8571 0.5000 0.1869
0.9268 0.5000 0.8030
0.0340 0.0000 0.2444
0.1847 0.5000 0.7096
0.5078 0.5000 0.5918
0.6013 0.0000 0.4255
0.7563 0.0000 0.1026
0.7772 0.5000 0.9383
0.1336 0.5000 0.4013
0.1936 0.0000 0.8867
0.2426 0.5000 0.0396
0.5045 0.5000 0.2645
0.6851 0.0000 0.7625
0.9649 0.0000 0.5485
```

[8]
Computed powder diffraction line list
Compound: MgMn6O6F6
Radiation: CuKα
Structure: a crystal structure in the Materials Project, relaxed with GGA+U
Intensities are scaled so that the largest is 100.

Peak list (10 most intense, 10 to 80 degrees two-theta, in order of rising 2θ)
(hkl), d (Å), Position (°2θ), Rel. int.
1 1 0, 3.527, 25.25, 100.0
1 -1 0, 3.456, 25.78, 91.0
1 0 3, 2.679, 33.45, 73.3
0 1 -3, 2.634, 34.04, 31.4
1 0 -3, 2.604, 34.44, 24.9
1 2 3, 1.853, 49.18, 20.4
-1 2 3, 1.808, 50.47, 23.8
1 -2 3, 1.802, 50.67, 31.2
2 2 0, 1.763, 51.85, 21.2
0 0 6, 1.569, 58.87, 24.9

Atomic structure:
```
MgMn6O6F6
1.0
4.8811 0.0000 0.0000
0.1046 4.9990 0.0000
0.2841 0.1887 9.4140
Mg Mn O F
1 6 6 6
Direct
0.0000 0.0000 0.0000
0.0252 0.4855 0.6680
0.0583 0.4918 0.0045
0.4535 0.9910 0.5040
0.4640 0.9913 0.1834
0.5284 0.0769 0.8216
0.9713 0.5663 0.3454
0.1525 0.7327 0.1522
0.1643 0.7138 0.5156
0.3142 0.2162 0.6578
0.3372 0.2032 0.0155
0.6326 0.8136 0.3406
0.8853 0.2948 0.8537
0.1855 0.7663 0.8507
0.2747 0.2374 0.3330
0.6944 0.7687 0.9981
0.7023 0.7721 0.6849
0.7811 0.2828 0.4988
0.8187 0.2361 0.1529
```

[9]
Computed powder diffraction line list
Compound: MgMn6O10F2
Radiation: CuKα
Structure: a crystal structure in the Materials Project, relaxed with GGA+U
Intensities are scaled so that the largest is 100.

Peak list (10 most intense, 10 to 80 degrees two-theta, in order of rising 2θ)
(hkl), d (Å), Position (°2θ), Rel. int.
0 1 3, 3.431, 25.97, 100.0
0 1 -3, 3.398, 26.23, 99.3
1 1 0, 2.565, 34.99, 28.3
1 0 3, 2.539, 35.35, 57.4
1 0 -3, 2.492, 36.05, 28.0
0 2 0, 2.480, 36.22, 19.5
1 1 6, 1.754, 52.15, 23.1
1 -1 6, 1.737, 52.69, 19.1
-1 1 6, 1.715, 53.43, 46.9
2 0 0, 1.488, 62.42, 19.1

Atomic structure:
```
MgMn6O10F2
1.0
2.9763 0.0000 0.0000
0.0580 4.9609 0.0000
0.2963 0.1353 14.1190
Mg Mn O F
1 6 10 2
Direct
0.0000 0.0000 0.0000
0.4201 0.3809 0.6451
0.4474 0.3934 0.3531
0.4894 0.4957 0.9898
0.9286 0.9557 0.8142
0.9320 0.8829 0.4988
0.9696 0.9718 0.1879
0.4247 0.0542 0.5642
0.4404 0.7218 0.4289
0.4603 0.1223 0.2543
0.4821 0.8576 0.0960
0.5105 0.1300 0.9045
0.9149 0.2493 0.7231
0.9236 0.5697 0.5865
0.9400 0.2180 0.4137
0.9851 0.3481 0.0616
0.9854 0.6719 0.9214
0.3984 0.7529 0.7473
0.9588 0.5890 0.2745
```

[10]
Computed powder diffraction line list
Compound: MgMn6O6F6
Radiation: CuKα
Structure: a crystal structure in the Materials Project, relaxed with GGA+U
Intensities are scaled so that the largest is 100.

Peak list (10 most intense, 10 to 80 degrees two-theta, in order of rising 2θ)
(hkl), d (Å), Position (°2θ), Rel. int.
1 1 0, 3.564, 24.98, 100.0
1 -1 0, 3.463, 25.72, 90.6
0 1 3, 2.721, 32.92, 37.8
1 0 3, 2.642, 33.92, 28.5
1 0 -3, 2.603, 34.46, 26.5
0 1 -3, 2.567, 34.95, 27.0
1 -1 3, 2.275, 39.62, 25.3
1 2 3, 1.890, 48.15, 24.4
-1 2 3, 1.845, 49.39, 26.2
1 2 -3, 1.774, 51.52, 33.9

Atomic structure:
```
MgMn6O6F6
1.0
4.9101 0.0000 0.0000
0.1508 5.0408 0.0000
0.1740 0.6077 9.3080
Mg Mn O F
1 6 6 6
Direct
0.0000 0.0000 0.0000
0.0331 0.4545 0.3377
0.4710 0.9281 0.1828
0.5287 0.0250 0.4974
0.5359 0.0137 0.8205
0.9520 0.5087 0.0027
0.9529 0.5057 0.6614
0.1336 0.6900 0.1516
0.3373 0.1899 0.3314
0.6657 0.7970 0.9911
0.6781 0.8211 0.6652
0.8366 0.2925 0.8568
0.8378 0.2813 0.4968
0.1611 0.7714 0.8483
0.2141 0.7174 0.5007
0.3152 0.2174 0.9980
0.3313 0.2402 0.6762
0.7131 0.7380 0.3410
0.8390 0.2148 0.1573
```

Copy entry 6 word for word.
Computed powder diffraction line list
Compound: MgMn6O6F6
Radiation: CuKα
Structure: a crystal structure in the Materials Project, relaxed with GGA+U
Intensities are scaled so that the largest is 100.

Peak list (10 most intense, 10 to 80 degrees two-theta, in order of rising 2θ)
(hkl), d (Å), Position (°2θ), Rel. int.
0 1 0, 5.555, 15.96, 22.6
1 1 1, 4.727, 18.77, 100.0
-1 1 1, 2.831, 31.60, 33.7
1 -1 2, 2.633, 34.04, 22.5
1 1 -2, 2.625, 34.16, 36.4
1 2 -1, 2.561, 35.04, 17.1
0 2 2, 2.333, 38.58, 28.2
2 0 3, 2.108, 42.91, 24.2
2 2 -1, 2.089, 43.31, 26.0
2 0 -3, 1.607, 57.33, 28.8

Atomic structure:
```
MgMn6O6F6
1.0
5.7605 0.0000 0.0000
2.4839 5.5681 0.0000
2.5616 0.5373 7.7304
Mg Mn O F
1 6 6 6
Direct
0.0000 0.0000 0.0000
0.0198 0.4788 0.0196
0.0324 0.8220 0.6702
0.0332 0.1464 0.3436
0.4846 0.2662 0.6346
0.5119 0.9997 0.0109
0.6331 0.7633 0.4141
0.2262 0.3128 0.1796
0.2468 0.1894 0.8849
0.3287 0.6074 0.5308
0.7719 0.0752 0.8294
0.7742 0.7910 0.1378
0.8237 0.9707 0.4993
0.2288 0.7154 0.8613
0.2360 0.8746 0.1722
0.2907 0.0652 0.5126
0.7918 0.2555 0.1666
0.8257 0.6049 0.8430
0.8382 0.4147 0.4947
```